Entry 1:
Diffraction record for NiBW. The XRD peak list is computed, not measured: it uses DFT lattice parameters and positions (GGA-PBE) and Cu Kα X-rays.
Kinematic intensities with the Lorentz-polarization factor, no thermal factor.

Main lines, low angle first (2θ from 10° to 80°):
2theta, I/Imax
23.4, 44
25.7, 32
33.0, 33
39.9, 38
42.1, 100
42.5, 53
46.8, 19
52.7, 22
74.0, 19
75.6, 21

Structure:
abc: 5.422 4.476 4.423
angles: 75.06 52.91 52.03
Positions (direct):
Ni  0.178  0.822  0.178
Ni  0.822  0.178  0.822
B  0.250  0.250  0.250
B  0.750  0.750  0.750
W  0.334  0.334  0.666
W  0.666  0.666  0.334

Entry 2:
Diffraction record for ZnNiBW. The XRD peak list is computed, not measured: it uses DFT lattice parameters and positions (GGA-PBE) and Cu Kα X-rays.
Kinematic intensities with the Lorentz-polarization factor, no thermal factor.

Main lines, low angle first (2θ from 10° to 80°):
2theta, I/Imax
26.9, 37
31.2, 41
44.7, 100
53.0, 18
55.5, 11
65.1, 16
71.8, 8
73.9, 14

Structure:
abc: 5.732 5.732 5.732
angles: 90.00 90.00 90.00
Positions (direct):
Zn  0.000  0.000  0.000
Zn  0.000  0.500  0.500
Zn  0.500  0.000  0.500
Zn  0.500  0.500  0.000
Ni  0.250  0.250  0.250
Ni  0.250  0.750  0.750
Ni  0.750  0.250  0.750
Ni  0.750  0.750  0.250
B  0.250  0.250  0.750
B  0.250  0.750  0.250
B  0.750  0.250  0.250
B  0.750  0.750  0.750
W  0.000  0.000  0.500
W  0.000  0.500  0.000
W  0.500  0.000  0.000
W  0.500  0.500  0.500

Entry 3:
Diffraction record for Y2NiB. The XRD peak list is computed, not measured: it uses DFT lattice parameters and positions (GGA-PBE) and Cu Kα X-rays.
Kinematic intensities with the Lorentz-polarization factor, no thermal factor.

Main lines, low angle first (2θ from 10° to 80°):
2theta, I/Imax
25.4, 10
28.1, 31
28.8, 9
34.1, 100
38.2, 8
43.0, 21
49.7, 30
61.7, 17
64.6, 7
74.9, 13

Structure:
abc: 3.669 3.669 14.033
angles: 90.00 90.00 120.00
Positions (direct):
Y  0.333  0.667  0.113
Y  0.333  0.667  0.387
Y  0.667  0.333  0.613
Y  0.667  0.333  0.887
Ni  0.333  0.667  0.750
Ni  0.667  0.333  0.250
B  0.000  0.000  0.000
B  0.000  0.000  0.500

Entry 4:
Diffraction record for Y4NiB13. The XRD peak list is computed, not measured: it uses DFT lattice parameters and positions (GGA-PBE) and Cu Kα X-rays.
Kinematic intensities with the Lorentz-polarization factor, no thermal factor.

Main lines, low angle first (2θ from 10° to 80°):
2theta, I/Imax
25.8, 52
27.3, 83
35.7, 29
37.9, 100
38.9, 26
43.7, 28
47.3, 37
51.5, 36
53.0, 28
58.5, 31

Structure:
abc: 7.317 7.317 6.909
angles: 90.00 90.00 90.00
Positions (direct):
Y  0.180  0.315  0.000
Y  0.185  0.320  0.500
Y  0.315  0.820  0.000
Y  0.320  0.815  0.500
Y  0.680  0.185  0.500
Y  0.685  0.180  0.000
Y  0.815  0.680  0.500
Y  0.820  0.685  0.000
Ni  0.000  0.000  0.500
Ni  0.500  0.500  0.000
B  0.000  0.000  0.000
B  0.040  0.830  0.243
B  0.040  0.830  0.757
B  0.092  0.592  0.250
B  0.092  0.592  0.750
B  0.170  0.040  0.243
B  0.170  0.040  0.757
B  0.330  0.540  0.257
B  0.330  0.540  0.743
B  0.408  0.092  0.250
B  0.408  0.092  0.750
B  0.460  0.330  0.257
B  0.460  0.330  0.743
B  0.500  0.500  0.500
B  0.540  0.670  0.257
B  0.540  0.670  0.743
B  0.592  0.908  0.250
B  0.592  0.908  0.750
B  0.670  0.460  0.257
B  0.670  0.460  0.743
B  0.830  0.960  0.243
B  0.830  0.960  0.757
B  0.908  0.408  0.250
B  0.908  0.408  0.750
B  0.960  0.170  0.243
B  0.960  0.170  0.757